For AsXeF11, a DFT-relaxed cell (PBE, the Materials Project) gives the theoretical powder XRD pattern in this record (a wavelength of 1.5418 Å).
No peak broadening, texture or thermal motion is included.

Structure:
Cell: 6.1582 16.6832 8.3078 Å, 90.00 92.74 90.00°
Element x y z (fractional)
As: 0.1038 0.1058 0.2008
As: 0.1038 0.3942 0.7008
As: 0.8962 0.6058 0.2992
As: 0.8962 0.8942 0.7992
Xe: 0.2967 0.6063 0.7477
Xe: 0.2967 0.8937 0.2477
Xe: 0.7033 0.1063 0.7523
Xe: 0.7033 0.3937 0.2523
F: 0.0121 0.5139 0.2280
F: 0.0121 0.9861 0.7280
F: 0.0237 0.5829 0.4950
F: 0.0237 0.9171 0.9950
F: 0.0256 0.6591 0.8094
F: 0.0256 0.8409 0.3094
F: 0.1243 0.6599 0.2474
F: 0.1243 0.8401 0.7474
F: 0.2339 0.1866 0.1142
F: 0.2339 0.3134 0.6142
F: 0.2380 0.1214 0.3878
F: 0.2380 0.3786 0.8878
F: 0.3181 0.5516 0.9584
F: 0.3181 0.9484 0.4584
F: 0.3283 0.0395 0.1439
F: 0.3283 0.4605 0.6439
F: 0.3380 0.6877 0.5786
F: 0.3380 0.8123 0.0786
F: 0.3946 0.0790 0.7781
F: 0.3946 0.4210 0.2781
F: 0.4275 0.6923 0.8798
F: 0.4275 0.8077 0.3797
F: 0.5725 0.1923 0.6202
F: 0.5725 0.3077 0.1202
F: 0.6054 0.5790 0.7219
F: 0.6054 0.9210 0.2219
F: 0.6620 0.1877 0.9214
F: 0.6620 0.3123 0.4214
F: 0.6717 0.5395 0.3561
F: 0.6717 0.9605 0.8561
F: 0.6819 0.0516 0.5416
F: 0.6819 0.4484 0.0416
F: 0.7620 0.6214 0.1122
F: 0.7620 0.8786 0.6122
F: 0.7661 0.6866 0.3858
F: 0.7661 0.8134 0.8858
F: 0.8757 0.1599 0.2526
F: 0.8757 0.3401 0.7526
F: 0.9744 0.1591 0.6906
F: 0.9744 0.3409 0.1906
F: 0.9763 0.0829 0.0050
F: 0.9763 0.4171 0.5050
F: 0.9879 0.0139 0.2720
F: 0.9879 0.4861 0.7720

Most intense lines, 2θ = 5–70°, in order of rising 2θ:
d = 8.342 Å, 2θ = 10.6°, intensity 22, hkl 0 2 0
d = 5.883 Å, 2θ = 15.1°, intensity 14, hkl 0 2 1
d = 4.841 Å, 2θ = 18.3°, intensity 100, hkl 1 1 -1
d = 4.641 Å, 2θ = 19.1°, intensity 46, hkl 1 1 1
d = 4.325 Å, 2θ = 20.5°, intensity 25, hkl 1 2 -1
d = 4.176 Å, 2θ = 21.3°, intensity 91, hkl 0 4 0
d = 4.149 Å, 2θ = 21.4°, intensity 50, hkl 0 0 2
d = 2.941 Å, 2θ = 30.4°, intensity 27, hkl 0 4 2
d = 2.785 Å, 2θ = 32.1°, intensity 26, hkl 1 5 -1
d = 1.955 Å, 2θ = 46.4°, intensity 20, hkl 2 2 3